1.
This entry pairs a crystal structure of Tc2Pt6Rh3 with its computed X-ray powder pattern. Radiation: Cu Kα X-rays. Structure: a structure optimized by DFT (PBE).

Crystal structure
```
22
Lattice="3.951 -2.482 0.000 3.951 2.482 0.000 -2.790 0.000 17.873" Properties=species:S:1:pos:R:3 pbc="T T T"
Tc 1.154 1.257 17.867
Tc 2.565 1.257 8.943
Tc 2.548 -1.257 8.931
Tc 3.960 -1.257 0.006
Pt -2.202 0.005 15.539
Pt -0.807 -0.005 6.602
Pt 0.608 0.010 10.299
Pt 2.003 -0.010 1.362
Pt 1.866 0.018 6.685
Pt 0.471 -0.018 15.622
Pt 4.642 0.018 2.252
Pt 3.248 -0.018 11.188
Pt 3.111 0.010 16.511
Pt 4.505 -0.010 7.575
Pt 5.921 0.005 11.271
Pt 7.316 -0.005 2.335
Rh 1.890 1.452 4.372
Rh 1.859 0.796 13.405
Rh 4.618 1.452 4.564
Rh 0.495 -1.452 13.309
Rh 3.254 -0.796 4.468
Rh 3.224 -1.452 13.501
```

Principal peaks in the range 5 to 70 degrees two-theta, low angle first:
| 2θ/deg | d (Å) | I/Imax |
| --- | --- | --- |
| 19.87 | 4.468 | 15 |
| 30.43 | 2.937 | 20 |
| 35.50 | 2.528 | 20 |
| 36.19 | 2.482 | 13 |
| 39.05 | 2.307 | 32 |
| 40.37 | 2.234 | 17 |
| 40.84 | 2.210 | 17 |
| 41.60 | 2.171 | 100 |
| 41.78 | 2.162 | 28 |
| 43.46 | 2.082 | 12 |
| 54.09 | 1.695 | 11 |
| 67.00 | 1.397 | 16 |

2.
This entry pairs a crystal structure of TcPt2Rh3 with its computed X-ray powder pattern. Radiation: Cu Kα X-rays. Structure: a structure optimized by DFT (PBE).

Crystal structure
```
12
Lattice="5.500 0.000 0.000 0.000 3.868 0.000 -0.044 0.000 8.263" Properties=species:S:1:pos:R:3 pbc="T T T"
Tc 0.685 0.967 2.036
Tc 4.771 2.901 6.227
Pt 0.654 0.967 4.833
Pt 2.057 2.901 0.740
Pt 3.399 0.967 7.522
Pt 4.802 2.901 3.430
Rh 0.612 0.967 7.581
Rh 2.006 2.901 6.174
Rh 2.036 2.901 3.399
Rh 3.420 0.967 4.863
Rh 3.450 0.967 2.089
Rh 4.844 2.901 0.682
```

Principal peaks in the range 5 to 70 degrees two-theta, low angle first:
| 2θ/deg | d (Å) | I/Imax |
| --- | --- | --- |
| 19.39 | 4.578 | 4 |
| 25.43 | 3.503 | 3 |
| 26.92 | 3.312 | 2 |
| 30.25 | 2.955 | 3 |
| 35.80 | 2.508 | 2 |
| 40.22 | 2.242 | 100 |
| 46.54 | 1.951 | 16 |
| 46.81 | 1.941 | 16 |
| 46.98 | 1.934 | 16 |
| 68.08 | 1.377 | 5 |
| 68.26 | 1.374 | 16 |
| 68.49 | 1.370 | 10 |

3.
This entry pairs a crystal structure of Tc2Pt3Rh7 with its computed X-ray powder pattern. Radiation: Cu Kα X-rays. Structure: a structure optimized by DFT (PBE).

Crystal structure
```
12
Lattice="15.346 -1.370 0.000 15.346 1.370 0.000 -0.002 0.000 4.228" Properties=species:S:1:pos:R:3 pbc="T T T"
Tc 0.000 0.000 0.000
Tc 21.735 0.000 2.119
Pt 5.275 0.000 0.005
Pt 16.396 0.000 2.114
Pt 25.741 0.000 4.226
Rh 2.510 0.000 0.003
Rh 8.804 0.000 2.120
Rh 11.469 0.000 2.112
Rh 13.028 0.000 4.226
Rh 19.194 0.000 2.119
Rh 23.100 0.000 0.006
Rh 29.201 0.000 2.113
```

Principal peaks in the range 5 to 70 degrees two-theta, low angle first:
| 2θ/deg | d (Å) | I/Imax |
| --- | --- | --- |
| 17.34 | 5.115 | 9 |
| 39.29 | 2.293 | 39 |
| 40.20 | 2.243 | 53 |
| 41.25 | 2.188 | 100 |
| 41.96 | 2.153 | 26 |
| 42.31 | 2.136 | 32 |
| 42.78 | 2.114 | 52 |
| 44.49 | 2.036 | 20 |
| 46.45 | 1.955 | 14 |
| 61.74 | 1.502 | 21 |
| 64.98 | 1.435 | 9 |
| 68.49 | 1.370 | 13 |

4.
This entry pairs a crystal structure of Tc6Pt16Rh7 with its computed X-ray powder pattern. Radiation: Cu Kα X-rays. Structure: a structure optimized by DFT (PBE).

Crystal structure
```
29
Lattice="0.000 6.199 6.199 6.199 0.000 6.199 6.199 6.199 0.000" Properties=species:S:1:pos:R:3 pbc="T T T"
Tc 6.199 6.199 1.828
Tc 6.199 1.828 6.199
Tc 10.570 6.199 6.199
Tc 1.828 6.199 6.199
Tc 6.199 10.570 6.199
Tc 6.199 6.199 10.570
Pt 7.691 4.707 4.707
Pt 1.937 1.937 1.937
Pt 4.262 4.262 1.937
Pt 4.262 1.937 4.262
Pt 4.707 4.707 4.707
Pt 7.691 7.691 4.707
Pt 7.691 4.707 7.691
Pt 10.461 8.136 8.136
Pt 1.937 4.262 4.262
Pt 4.707 7.691 4.707
Pt 4.707 4.707 7.691
Pt 7.691 7.691 7.691
Pt 8.136 10.461 8.136
Pt 8.136 8.136 10.461
Pt 10.461 10.461 10.461
Pt 4.707 7.691 7.691
Rh 3.100 3.100 0.000
Rh 3.100 0.000 3.100
Rh 6.199 3.100 3.100
Rh 0.000 3.100 3.100
Rh 3.100 6.199 3.100
Rh 3.100 3.100 6.199
Rh 6.199 6.199 6.199
```

Principal peaks in the range 5 to 70 degrees two-theta, low angle first:
| 2θ/deg | d (Å) | I/Imax |
| --- | --- | --- |
| 28.80 | 3.100 | 41 |
| 35.47 | 2.531 | 11 |
| 37.70 | 2.386 | 53 |
| 41.19 | 2.192 | 100 |
| 43.17 | 2.096 | 36 |
| 43.81 | 2.066 | 23 |
| 48.72 | 1.869 | 14 |
| 51.04 | 1.790 | 14 |
| 59.66 | 1.550 | 15 |
| 63.69 | 1.461 | 10 |
| 65.16 | 1.432 | 9 |
| 69.01 | 1.361 | 13 |

5.
This entry pairs a crystal structure of Tc2Pt2Rh7 with its computed X-ray powder pattern. Radiation: Cu Kα X-rays. Structure: a structure optimized by DFT (PBE).

Crystal structure
```
11
Lattice="3.436 -3.712 0.000 3.436 3.712 0.000 -1.300 0.000 6.494" Properties=species:S:1:pos:R:3 pbc="T T T"
Tc 3.436 2.364 0.000
Tc 3.436 -2.364 0.000
Pt 0.235 0.000 2.256
Pt 5.337 0.000 4.238
Rh 0.686 1.418 4.570
Rh 2.265 0.000 0.542
Rh 0.686 -1.418 4.570
Rh 2.786 0.000 3.247
Rh 4.887 1.418 1.923
Rh 3.307 0.000 5.952
Rh 4.887 -1.418 1.923
```

Principal peaks in the range 5 to 70 degrees two-theta, low angle first:
| 2θ/deg | d (Å) | I/Imax |
| --- | --- | --- |
| 17.78 | 4.990 | 19 |
| 24.00 | 3.708 | 23 |
| 36.00 | 2.495 | 11 |
| 40.58 | 2.223 | 39 |
| 41.71 | 2.166 | 78 |
| 42.22 | 2.140 | 100 |
| 42.36 | 2.134 | 54 |
| 43.07 | 2.100 | 43 |
| 46.50 | 1.953 | 24 |
| 49.08 | 1.856 | 11 |
| 55.52 | 1.655 | 9 |
| 60.34 | 1.534 | 15 |

6.
This entry pairs a crystal structure of TcPt2Rh6 with its computed X-ray powder pattern. Radiation: Cu Kα X-rays. Structure: a structure optimized by DFT (PBE).

Crystal structure
```
18
Lattice="5.122 0.000 0.000 1.614 6.050 0.000 2.247 2.279 8.907" Properties=species:S:1:pos:R:3 pbc="T T T"
Tc 1.443 3.496 2.207
Tc 7.540 4.832 6.699
Pt 3.735 6.897 6.000
Pt 3.646 4.662 1.518
Pt 5.337 3.666 7.389
Pt 5.248 1.432 2.906
Rh 2.618 5.197 3.993
Rh 2.877 2.588 7.813
Rh 4.251 5.881 8.490
Rh 2.127 1.272 0.949
Rh 2.747 1.551 3.478
Rh 3.842 3.253 5.238
Rh 5.141 5.075 3.669
Rh 6.237 6.777 5.429
Rh 6.856 7.057 7.957
Rh 4.732 2.447 0.416
Rh 6.106 5.741 1.094
Rh 6.365 3.131 4.914
```

Principal peaks in the range 5 to 70 degrees two-theta, low angle first:
| 2θ/deg | d (Å) | I/Imax |
| --- | --- | --- |
| 28.14 | 3.171 | 19 |
| 29.64 | 3.014 | 22 |
| 34.51 | 2.599 | 20 |
| 38.94 | 2.313 | 33 |
| 39.57 | 2.277 | 88 |
| 40.04 | 2.252 | 26 |
| 40.91 | 2.206 | 68 |
| 41.16 | 2.193 | 100 |
| 41.53 | 2.174 | 32 |
| 43.87 | 2.064 | 50 |
| 44.93 | 2.017 | 22 |
| 46.80 | 1.941 | 24 |

7.
This entry pairs a crystal structure of TePtRh with its computed X-ray powder pattern. Radiation: Cu Kα X-rays. Structure: a structure optimized by DFT (PBE).

Crystal structure
```
12
Lattice="6.216 0.000 0.000 0.000 6.216 0.000 0.000 0.000 6.216" Properties=species:S:1:pos:R:3 pbc="T T T"
Te 0.267 0.267 0.267
Te 2.841 5.950 3.375
Te 3.375 2.841 5.950
Te 5.950 3.375 2.841
Pt 1.213 1.895 4.321
Pt 1.895 4.321 1.213
Pt 4.321 1.213 1.895
Pt 5.003 5.003 5.003
Rh 0.278 5.938 2.830
Rh 2.830 0.278 5.938
Rh 3.387 3.387 3.387
Rh 5.938 2.830 0.278
```

Principal peaks in the range 5 to 70 degrees two-theta, low angle first:
| 2θ/deg | d (Å) | I/Imax |
| --- | --- | --- |
| 24.81 | 3.589 | 82 |
| 32.20 | 2.780 | 36 |
| 35.37 | 2.538 | 56 |
| 41.07 | 2.198 | 100 |
| 43.68 | 2.072 | 20 |
| 46.18 | 1.966 | 70 |
| 48.58 | 1.874 | 12 |
| 53.12 | 1.724 | 10 |
| 55.29 | 1.661 | 31 |
| 59.48 | 1.554 | 4 |
| 61.51 | 1.508 | 21 |
| 69.27 | 1.356 | 12 |

8.
This entry pairs a crystal structure of Th6PtRh5 with its computed X-ray powder pattern. Radiation: Cu Kα X-rays. Structure: a structure optimized by DFT (PBE).

Crystal structure
```
12
Lattice="3.577 -6.185 0.000 3.577 6.185 0.000 -2.370 0.000 6.721" Properties=species:S:1:pos:R:3 pbc="T T T"
Th -0.010 2.096 5.017
Th 1.152 0.000 1.685
Th -0.010 -2.096 5.017
Th 4.793 2.096 1.704
Th 3.631 0.000 5.036
Th 4.793 -2.096 1.704
Pt 3.577 0.000 0.000
Rh -1.185 0.000 3.360
Rh 3.577 4.117 0.000
Rh 2.392 2.023 3.360
Rh 2.392 -2.023 3.360
Rh 3.577 -4.117 0.000
```

Principal peaks in the range 5 to 70 degrees two-theta, low angle first:
| 2θ/deg | d (Å) | I/Imax |
| --- | --- | --- |
| 26.46 | 3.368 | 13 |
| 26.52 | 3.360 | 4 |
| 30.67 | 2.915 | 100 |
| 43.89 | 2.063 | 50 |
| 43.99 | 2.058 | 25 |
| 52.00 | 1.759 | 7 |
| 52.08 | 1.756 | 2 |
| 54.40 | 1.686 | 7 |
| 54.56 | 1.682 | 20 |
| 63.86 | 1.458 | 13 |